(1)
The following is a theoretical powder X-ray diffraction pattern of NbV5W. It was derived from DFT lattice parameters and positions (PBE), using Cu Kα, 1.54184 Å.
Intensities are scaled so that the largest is 100.

Most intense lines, 10 to 80 degrees two-theta, sorted by position:
2θ 19.07, intensity 21
2θ 22.74, intensity 18
2θ 22.89, intensity 35
2θ 30.87, intensity 23
2θ 34.97, intensity 44
2θ 38.69, intensity 36
2θ 40.02, intensity 100
2θ 40.28, intensity 50
2θ 42.29, intensity 27
2θ 45.51, intensity 20
2θ 51.45, intensity 15
2θ 73.05, intensity 15

Structure:
```
data_NbV5W
_chemical_formula_sum 'Nb2 V10 W2'
_space_group_name_H-M_alt 'P 1'
_space_group_IT_number 1
_cell_length_a 5.1378
_cell_length_b 5.1378
_cell_length_c 8.2535
_cell_angle_alpha 99.63
_cell_angle_beta 99.63
_cell_angle_gamma 99.11
loop_
_space_group_symop_operation_xyz
'x,y,z'
loop_
_atom_site_label
_atom_site_type_symbol
_atom_site_fract_x
_atom_site_fract_y
_atom_site_fract_z
_atom_site_occupancy
Nb1 Nb 0.2469 0.7531 0.7500 1
Nb2 Nb 0.7531 0.2469 0.2500 1
V1 V 0.0137 0.1863 0.6398 1
V2 V 0.1863 0.0137 0.1398 1
V3 V 0.2457 0.3886 0.4486 1
V4 V 0.3886 0.2457 0.9486 1
V5 V 0.3986 0.6014 0.2500 1
V6 V 0.6014 0.3986 0.7500 1
V7 V 0.6114 0.7543 0.0514 1
V8 V 0.7543 0.6114 0.5514 1
V9 V 0.8137 0.9863 0.8602 1
V10 V 0.9863 0.8137 0.3602 1
W1 W 0.0000 0.5000 0.0000 1
W2 W 0.5000 0.0000 0.5000 1
```



(2)
The following is a theoretical powder X-ray diffraction pattern of NbV6W2. It was derived from DFT lattice parameters and positions (PBE), using Cu Kα, 1.54184 Å.
Intensities are scaled so that the largest is 100.

Most intense lines, 10 to 80 degrees two-theta, sorted by position:
2θ 12.09, intensity 100
2θ 19.90, intensity 47
2θ 24.31, intensity 33
2θ 27.75, intensity 28
2θ 40.85, intensity 81
2θ 41.08, intensity 85
2θ 41.27, intensity 87
2θ 41.57, intensity 77
2θ 41.76, intensity 76
2θ 41.94, intensity 75
2θ 60.01, intensity 75
2θ 76.24, intensity 39

Structure:
```
data_NbV6W2
_chemical_formula_sum 'Nb1 V6 W2'
_space_group_name_H-M_alt 'P 1'
_space_group_IT_number 1
_cell_length_a 2.7137
_cell_length_b 6.7082
_cell_length_c 7.4617
_cell_angle_alpha 79.00
_cell_angle_beta 89.59
_cell_angle_gamma 81.89
loop_
_space_group_symop_operation_xyz
'x,y,z'
loop_
_atom_site_label
_atom_site_type_symbol
_atom_site_fract_x
_atom_site_fract_y
_atom_site_fract_z
_atom_site_occupancy
Nb1 Nb 0.0000 0.0000 0.0000 1
V1 V 0.2199 0.3428 0.1095 1
V2 V 0.3276 0.0009 0.6640 1
V3 V 0.4493 0.6597 0.2215 1
V4 V 0.5507 0.3403 0.7785 1
V5 V 0.6724 0.9991 0.3360 1
V6 V 0.7801 0.6572 0.8905 1
W1 W 0.1083 0.6701 0.5567 1
W2 W 0.8917 0.3299 0.4433 1
```